(1)
Computed powder diffractogram of Li2TiFe3O8 for Cu Kα X-rays, from the GGA+U geometry in Alexandria.
Peak positions follow from Bragg's law for the DFT cell and can differ from measured ones.

Crystal structure
Cell lengths 5.8535, 5.8535, 9.5507 Å; angles 90.00, 90.00, 120.00 degrees
Positions (direct):
Li 0.0000 0.0000 0.0000
Li 0.0000 0.0000 0.5000
Li 0.3333 0.6667 0.4063
Li 0.6667 0.3333 0.9063
Ti 0.3333 0.6667 0.0003
Ti 0.6667 0.3333 0.5003
Fe 0.1692 0.3384 0.7203
Fe 0.1692 0.8308 0.7203
Fe 0.3384 0.1692 0.2203
Fe 0.6616 0.8308 0.7203
Fe 0.8308 0.1692 0.2203
Fe 0.8308 0.6616 0.2203
O 0.0000 0.0000 0.3120
O 0.0000 0.0000 0.8120
O 0.0362 0.5181 0.8487
O 0.1674 0.3349 0.0990
O 0.1674 0.8326 0.0990
O 0.3333 0.6667 0.6199
O 0.3349 0.1674 0.5990
O 0.4819 0.5181 0.8487
O 0.4819 0.9638 0.8487
O 0.5181 0.0362 0.3487
O 0.5181 0.4819 0.3487
O 0.6651 0.8326 0.0990
O 0.6667 0.3333 0.1199
O 0.8326 0.1674 0.5990
O 0.8326 0.6651 0.5990
O 0.9638 0.4819 0.3487

Largest 6 diffraction maxima, in order of rising 2θ, 5° ≤ 2θ ≤ 70°:
18.58°, d = 4.775 Å, rel. 82
19.83°, d = 4.478 Å, rel. 100
36.68°, d = 2.450 Å, rel. 64
40.28°, d = 2.239 Å, rel. 48
45.76°, d = 1.983 Å, rel. 70
60.71°, d = 1.525 Å, rel. 50

=====

(2)
Computed powder diffractogram of Li2TiFe2O5 for Cu Kα X-rays, from the GGA+U geometry in Alexandria.
Peak positions follow from Bragg's law for the DFT cell and can differ from measured ones.

Crystal structure
Cell lengths 7.9871, 7.9871, 5.1323 Å; angles 95.72, 95.72, 142.48 degrees
Positions (direct):
Li 0.0532 0.9468 0.5000
Li 0.2440 0.7459 0.5020
Li 0.7459 0.2440 0.0020
Li 0.9468 0.0532 0.0000
Ti 0.1227 0.8324 0.9903
Ti 0.8324 0.1227 0.4903
Fe 0.3397 0.6462 0.9965
Fe 0.4460 0.5401 0.5041
Fe 0.5401 0.4460 0.0041
Fe 0.6462 0.3397 0.4965
O 0.0894 0.3833 0.2729
O 0.1632 0.2804 0.7367
O 0.2804 0.1632 0.2367
O 0.3833 0.0894 0.7729
O 0.5068 0.9992 0.2585
O 0.6098 0.9107 0.7382
O 0.7009 0.8093 0.2550
O 0.8093 0.7009 0.7550
O 0.9107 0.6098 0.2382
O 0.9992 0.5068 0.7585

Largest 6 diffraction maxima, in order of rising 2θ, 5° ≤ 2θ ≤ 70°:
19.09°, d = 4.648 Å, rel. 34
22.18°, d = 4.007 Å, rel. 38
36.78°, d = 2.443 Å, rel. 42
42.32°, d = 2.136 Å, rel. 100
43.56°, d = 2.078 Å, rel. 46
62.34°, d = 1.489 Å, rel. 52

=====

(3)
Computed powder diffractogram of Li3TiFe3O8 for Cu Kα X-rays, from the GGA+U geometry in Alexandria.
Peak positions follow from Bragg's law for the DFT cell and can differ from measured ones.

Crystal structure
Cell lengths 5.9109, 5.9109, 9.6104 Å; angles 90.00, 90.00, 120.00 degrees
Positions (direct):
Li 0.1762 0.3524 0.0000
Li 0.1762 0.8238 0.0000
Li 0.3524 0.1762 0.5000
Li 0.6476 0.8238 0.0000
Li 0.8238 0.1762 0.5000
Li 0.8238 0.6476 0.5000
Ti 0.3333 0.6667 0.4449
Ti 0.6667 0.3333 0.9449
Fe 0.1694 0.3387 0.7268
Fe 0.1694 0.8306 0.7268
Fe 0.3387 0.1694 0.2268
Fe 0.6613 0.8306 0.7268
Fe 0.8306 0.1694 0.2268
Fe 0.8306 0.6613 0.2268
O 0.0000 0.0000 0.1202
O 0.0000 0.0000 0.6202
O 0.0358 0.5179 0.5962
O 0.1672 0.3345 0.3516
O 0.1672 0.8328 0.3516
O 0.3333 0.6667 0.8457
O 0.3345 0.1672 0.8516
O 0.4821 0.5179 0.5962
O 0.4821 0.9642 0.5962
O 0.5179 0.0358 0.0962
O 0.5179 0.4821 0.0962
O 0.6655 0.8328 0.3516
O 0.6667 0.3333 0.3457
O 0.8328 0.1672 0.8516
O 0.8328 0.6655 0.8516
O 0.9642 0.4821 0.0962

Largest 6 diffraction maxima, in order of rising 2θ, 5° ≤ 2θ ≤ 70°:
18.46°, d = 4.805 Å, rel. 65
19.65°, d = 4.518 Å, rel. 100
36.32°, d = 2.473 Å, rel. 67
39.91°, d = 2.259 Å, rel. 49
45.35°, d = 2.000 Å, rel. 89
62.89°, d = 1.478 Å, rel. 49

=====

(4)
Computed powder diffractogram of Li5Ti2Fe3O10 for Cu Kα X-rays, from the GGA+U geometry in Alexandria.
Peak positions follow from Bragg's law for the DFT cell and can differ from measured ones.

Crystal structure
Cell lengths 5.2072, 5.2088, 7.8948 Å; angles 70.96, 71.24, 80.30 degrees
Positions (direct):
Li 0.0000 0.0000 0.0000
Li 0.0097 0.3901 0.1887
Li 0.4945 0.2906 0.8951
Li 0.9714 0.1771 0.6139
Li 0.9844 0.5551 0.7993
Ti 0.4636 0.8970 0.7065
Ti 0.5164 0.6861 0.0852
Fe 0.4902 0.4774 0.5065
Fe 0.4970 0.0893 0.2933
Fe 0.9917 0.7754 0.4030
O 0.2445 0.2067 0.7511
O 0.2580 0.8472 0.5513
O 0.2623 0.0059 0.1602
O 0.2710 0.4369 0.3300
O 0.2750 0.6506 0.9436
O 0.7123 0.9165 0.8533
O 0.7183 0.1126 0.4627
O 0.7285 0.3511 0.0631
O 0.7290 0.5527 0.6443
O 0.7299 0.7534 0.2336

Largest 6 diffraction maxima, in order of rising 2θ, 5° ≤ 2θ ≤ 70°:
12.38°, d = 7.151 Å, rel. 61
18.04°, d = 4.916 Å, rel. 86
26.24°, d = 3.396 Å, rel. 29
42.52°, d = 2.126 Å, rel. 100
42.76°, d = 2.115 Å, rel. 50
61.91°, d = 1.499 Å, rel. 27

=====

(5)
Computed powder diffractogram of LiTiFe2O5 for Cu Kα X-rays, from the GGA+U geometry in Alexandria.
Peak positions follow from Bragg's law for the DFT cell and can differ from measured ones.

Crystal structure
Cell lengths 5.4031, 5.4327, 7.6322 Å; angles 80.72, 70.48, 65.59 degrees
Positions (direct):
Li 0.0000 0.0000 0.0000
Li 0.3450 0.5397 0.3871
Ti 0.0842 0.5573 0.8025
Ti 0.4035 0.0457 0.1829
Fe 0.2732 0.0462 0.6028
Fe 0.5285 0.5204 0.9990
Fe 0.7258 0.4969 0.5814
Fe 0.8323 0.0129 0.3955
O 0.0945 0.2273 0.3990
O 0.2314 0.8004 0.1771
O 0.2957 0.3030 0.9991
O 0.3373 0.7417 0.7943
O 0.4598 0.2876 0.5988
O 0.5597 0.8046 0.3996
O 0.6484 0.2338 0.1877
O 0.7626 0.7544 0.9884
O 0.9193 0.2929 0.8017
O 0.9804 0.7379 0.5927

Largest 6 diffraction maxima, in order of rising 2θ, 5° ≤ 2θ ≤ 70°:
21.53°, d = 4.127 Å, rel. 65
22.09°, d = 4.024 Å, rel. 74
26.35°, d = 3.382 Å, rel. 77
39.58°, d = 2.277 Å, rel. 100
43.30°, d = 2.090 Å, rel. 91
44.88°, d = 2.019 Å, rel. 81

=====

(6)
Computed powder diffractogram of Li4Ti3Fe3W2O16 for Cu Kα X-rays, from the GGA+U geometry in Alexandria.
Peak positions follow from Bragg's law for the DFT cell and can differ from measured ones.

Crystal structure
Cell lengths 5.9918, 6.0715, 9.8751 Å; angles 88.21, 89.50, 60.97 degrees
Positions (direct):
Li 0.0000 0.0000 0.0000
Li 0.0086 0.9888 0.5086
Li 0.3166 0.3467 0.4276
Li 0.6566 0.6809 0.9214
Ti 0.1463 0.6484 0.7402
Ti 0.3356 0.7934 0.2254
Ti 0.7995 0.8568 0.2404
Fe 0.1863 0.1533 0.7236
Fe 0.6677 0.1698 0.7265
Fe 0.8379 0.3428 0.2266
W 0.3444 0.3143 0.9996
W 0.6677 0.6549 0.5067
O 0.0154 0.9801 0.3188
O 0.0162 0.9745 0.8138
O 0.0289 0.4912 0.8676
O 0.1759 0.6632 0.1184
O 0.1813 0.1599 0.1082
O 0.3295 0.3632 0.6290
O 0.3536 0.8171 0.6004
O 0.4574 0.5005 0.8757
O 0.4885 0.0367 0.8731
O 0.4969 0.5357 0.3586
O 0.5219 0.9698 0.3575
O 0.6509 0.7049 0.1274
O 0.6759 0.1569 0.1132
O 0.8505 0.3221 0.5871
O 0.8535 0.7970 0.6146
O 0.9477 0.5462 0.3573

Largest 6 diffraction maxima, in order of rising 2θ, 5° ≤ 2θ ≤ 70°:
18.74°, d = 4.735 Å, rel. 53
19.12°, d = 4.642 Å, rel. 100
19.24°, d = 4.614 Å, rel. 98
19.49°, d = 4.555 Å, rel. 54
34.19°, d = 2.623 Å, rel. 53
34.87°, d = 2.573 Å, rel. 47

=====

(7)
Computed powder diffractogram of Li2V3FeO8 for Cu Kα X-rays, from the GGA+U geometry in Alexandria.
Peak positions follow from Bragg's law for the DFT cell and can differ from measured ones.

Crystal structure
Cell lengths 5.9435, 5.9435, 9.6111 Å; angles 90.62, 90.62, 120.51 degrees
Positions (direct):
Li 0.0054 0.9946 0.5000
Li 0.3381 0.6708 0.6005
Li 0.6708 0.3381 0.1005
Li 0.9946 0.0054 0.0000
V 0.1731 0.8308 0.2790
V 0.1779 0.3455 0.2850
V 0.3455 0.1779 0.7850
V 0.6655 0.8295 0.2791
V 0.8295 0.6655 0.7791
V 0.8308 0.1731 0.7790
Fe 0.3358 0.6788 0.0024
Fe 0.6788 0.3358 0.5024
O 0.0025 0.9976 0.1851
O 0.0436 0.5338 0.1593
O 0.1534 0.8364 0.8944
O 0.1543 0.3308 0.8948
O 0.3308 0.1543 0.3948
O 0.3485 0.6862 0.3929
O 0.4863 0.9673 0.1580
O 0.4950 0.5353 0.1570
O 0.5338 0.0436 0.6593
O 0.5353 0.4950 0.6570
O 0.6707 0.8409 0.8905
O 0.6862 0.3485 0.8929
O 0.8364 0.1534 0.3944
O 0.8409 0.6707 0.3905
O 0.9673 0.4863 0.6580
O 0.9976 0.0025 0.6851

Largest 6 diffraction maxima, in order of rising 2θ, 5° ≤ 2θ ≤ 70°:
18.47°, d = 4.804 Å, rel. 80
19.51°, d = 4.551 Å, rel. 100
19.80°, d = 4.483 Å, rel. 53
35.35°, d = 2.539 Å, rel. 42
36.09°, d = 2.489 Å, rel. 62
39.61°, d = 2.275 Å, rel. 44

=====

(8)
Computed powder diffractogram of Li5V3Fe2O10 for Cu Kα X-rays, from the GGA+U geometry in Alexandria.
Peak positions follow from Bragg's law for the DFT cell and can differ from measured ones.

Crystal structure
Cell lengths 5.0914, 5.3137, 7.8926 Å; angles 106.61, 102.38, 102.00 degrees
Positions (direct):
Li 0.0000 0.0000 0.0000
Li 0.1066 0.2298 0.7290
Li 0.3010 0.5598 0.0843
Li 0.6990 0.4402 0.9157
Li 0.8934 0.7702 0.2710
V 0.2043 0.3984 0.3966
V 0.5000 0.0000 0.5000
V 0.7957 0.6016 0.6034
Fe 0.4059 0.8337 0.8276
Fe 0.5941 0.1663 0.1724
O 0.0320 0.6053 0.8271
O 0.1630 0.7662 0.5420
O 0.2644 0.0352 0.2732
O 0.3555 0.1993 0.9493
O 0.4417 0.3853 0.6351
O 0.5583 0.6147 0.3649
O 0.6445 0.8007 0.0507
O 0.7356 0.9648 0.7268
O 0.8370 0.2338 0.4580
O 0.9680 0.3947 0.1729

Largest 6 diffraction maxima, in order of rising 2θ, 5° ≤ 2θ ≤ 70°:
12.24°, d = 7.234 Å, rel. 51
18.08°, d = 4.906 Å, rel. 100
18.63°, d = 4.763 Å, rel. 44
40.76°, d = 2.214 Å, rel. 74
42.94°, d = 2.106 Å, rel. 67
44.11°, d = 2.053 Å, rel. 66